The following is a simulated powder diffraction line list of Rb2FeF7. It was derived from the GGA+U geometry in Alexandria, using CuKα.
No peak broadening, texture or thermal motion is included.

Principal peaks in the range 15° ≤ 2θ ≤ 90°, in order of rising 2θ:
17.54 deg, 5.057 Å, rel. 33
28.13 deg, 3.173 Å, rel. 57
29.18 deg, 3.061 Å, rel. 100
35.50 deg, 2.529 Å, rel. 49
40.20 deg, 2.243 Å, rel. 51
43.22 deg, 2.093 Å, rel. 22
50.43 deg, 1.809 Å, rel. 35
60.49 deg, 1.530 Å, rel. 26

Atomic structure:
```
10
Lattice="-3.173 3.173 4.186 3.173 -3.173 4.186 3.173 3.173 -4.186" Properties=species:S:1:pos:R:3 pbc="T T T"
Rb 3.173 0.000 2.093
Rb 0.000 3.173 2.093
Fe 0.000 0.000 0.000
F 1.308 1.308 0.000
F 1.865 -1.865 4.186
F 0.000 0.000 1.922
F 0.000 0.000 4.186
F 0.000 0.000 6.450
F -1.865 1.865 4.186
F 1.865 1.865 4.186
```